Simulated XRD peak list of RbCoCl3O2 for Cu Kα X-rays, from the PBE+U geometry in the Materials Project.

Crystal structure
Cell: 15.2763 5.9530 8.5329 Å, 90.00 119.19 90.00°
Space group C2/c (No. 15)
One atom of each set of equivalent atoms:
Rb1 0.2500 0.2500 0.0000
Co1 0.0000 0.0000 0.0000
Cl1 0.0000 0.1957 0.7500
Cl2 0.1347 0.2223 0.5464
O1 0.0803 0.2034 0.1197

Most intense lines, 2θ = 10–90°, by angle:
16.31°, intensity 100.0, hkl 1 1 0
18.19°, intensity 47.9, hkl 1 1 -1
23.09°, intensity 35.8, hkl 3 1 -1
23.89°, intensity 71.0, hkl 0 0 2
31.79°, intensity 34.9, hkl 3 1 1
33.25°, intensity 78.9, hkl 5 1 -1
35.06°, intensity 74.1, hkl 3 1 -3
45.03°, intensity 46.4, hkl 2 2 2

Simulated XRD peak list of Li9Mn2Co5O16 for Cu Kα X-rays, from the PBE+U geometry in the Materials Project.

Crystal structure
Cell: 5.1789 6.4494 8.6030 Å, 97.10 94.37 95.62°
Space group P1 (No. 1)
One atom of each set of equivalent atoms:
Li1 0.0000 0.0000 0.0000
Li2 0.0015 0.7718 0.2571
Li3 0.2425 0.7025 0.8185
Li4 0.4830 0.8873 0.1261
Li5 0.4853 0.1294 0.8762
Li6 0.4869 0.3984 0.6358
Li7 0.4912 0.6439 0.3867
Li8 0.9936 0.5174 0.5106
Li9 0.9977 0.2663 0.7551
Mn1 0.2411 0.4549 0.0646
Mn2 0.7427 0.3242 0.1952
Co1 0.2412 0.9522 0.5694
Co2 0.2430 0.2013 0.3204
Co3 0.7322 0.5831 0.9377
Co4 0.7434 0.0748 0.4451
Co5 0.7450 0.8286 0.6922
O1 0.0854 0.9642 0.7634
O2 0.1206 0.7138 0.0404
O3 0.1294 0.2211 0.5293
O4 0.1386 0.4712 0.2828
O5 0.3471 0.1785 0.1067
O6 0.3579 0.9385 0.3614
O7 0.3680 0.4169 0.8633
O8 0.3943 0.7044 0.6093
O9 0.5965 0.5860 0.1461
O10 0.6311 0.3439 0.4075
O11 0.6360 0.0923 0.6548
O12 0.6397 0.8507 0.9031
O13 0.8413 0.5682 0.7309
O14 0.8532 0.8079 0.4800
O15 0.8537 0.0545 0.2347
O16 0.8891 0.3207 0.9879

Most intense lines, 2θ = 10–90°, by angle:
18.49°, intensity 100.0, hkl 0 1 1
34.96°, intensity 17.1, hkl 2 0 0
36.74°, intensity 23.5, hkl 1 1 -3
42.06°, intensity 31.0, hkl 2 1 1
44.69°, intensity 50.8, hkl 1 0 -4
47.74°, intensity 9.5, hkl 1 3 -1
58.86°, intensity 9.5, hkl -1 1 5
63.02°, intensity 22.5, hkl 3 1 -3